Starting from the GGA-PBE geometry in Alexandria, the PXRD pattern of Pr3CCl was simulated for Cu Kα X-rays.
Peak positions follow from Bragg's law for the DFT cell and can differ from measured ones.

Most intense lines, 10 to 80 degrees two-theta, in order of falling intensity:
(1 2 1), d 2.720, I = 100; (0 3 1), d 2.908, I = 94; (1 1 2), d 2.541, I = 56; (1 1 0), d 3.453, I = 52; (0 0 1), d 7.502, I = 50; (0 3 2), d 2.415, I = 43; (0 0 2), d 3.751, I = 42; (2 3 1), d 1.564, I = 30; (1 0 2), d 2.637, I = 30; (0 0 3), d 2.501, I = 23

Atomic structure:
```
data_Pr3CCl
_cell_length_a 3.7093
_cell_length_b 9.4625
_cell_length_c 7.5018
_cell_angle_alpha 90.00
_cell_angle_beta 90.00
_cell_angle_gamma 90.00
_space_group_name_H-M_alt 'P m m n'
_space_group_IT_number 59
loop_
_space_group_symop_operation_xyz
'x,y,z'
'-x,-y,-z'
'-x+1/2,-y+1/2,z'
'x+1/2,y+1/2,-z'
'x+1/2,-y,-z'
'-x+1/2,y,z'
'-x,y+1/2,-z'
'x,-y+1/2,z'
loop_
_atom_site_label
_atom_site_fract_x
_atom_site_fract_y
_atom_site_fract_z
_atom_site_occupancy
Pr1 0.2500 0.0757 0.1707 1
Pr2 0.2500 0.2500 0.7642 1
C1 0.2500 0.7500 0.0103 1
Cl1 0.2500 0.7500 0.5625 1
```


Starting from the GGA-PBE geometry in Alexandria, the PXRD pattern of Sr2ErMg12Zn3 was simulated for Cu Kα X-rays.
Peak positions follow from Bragg's law for the DFT cell and can differ from measured ones.

Most intense lines, 10 to 80 degrees two-theta, in order of falling intensity:
(1 0 7), d 2.997, I = 100; (1 2 5), d 2.457, I = 91; (2 0 2), d 3.656, I = 84; (1 1 3), d 3.843, I = 81; (2 2 0), d 2.229, I = 74; (1 2 2), d 2.827, I = 72; (0 1 2), d 6.390, I = 62; (1 0 1), d 7.312, I = 59; (1 1 0), d 4.458, I = 56; (0 2 1), d 3.805, I = 56

Atomic structure:
```
data_Sr2ErMg12Zn3
_cell_length_a 8.9152
_cell_length_b 8.9152
_cell_length_c 22.7647
_cell_angle_alpha 90.00
_cell_angle_beta 90.00
_cell_angle_gamma 120.00
_space_group_name_H-M_alt 'R -3 m'
_space_group_IT_number 166
_space_group_name_Hall '-R 3 2"'
loop_
_atom_site_label
_atom_site_fract_x
_atom_site_fract_y
_atom_site_fract_z
_atom_site_occupancy
Sr1 0.0000 0.0000 0.0842 1
Er1 0.0000 0.0000 0.5000 1
Mg1 0.0807 0.5403 0.8758 1
Mg2 0.0896 0.5448 0.2793 1
Zn1 0.0000 0.5000 0.0000 1
```


Starting from the GGA-PBE geometry in Alexandria, the PXRD pattern of K2UReO8 was simulated for Cu Kα X-rays.
Peak positions follow from Bragg's law for the DFT cell and can differ from measured ones.

Most intense lines, 10 to 80 degrees two-theta, in order of falling intensity:
(0 0 1), d 5.693, I = 100; (0 2 1), d 2.853, I = 70; (1 0 -1), d 4.084, I = 49; (1 0 1), d 3.969, I = 39; (1 2 -2), d 2.030, I = 32; (1 2 2), d 2.001, I = 19; (1 2 -1), d 2.566, I = 18; (3 2 0), d 1.645, I = 15; (2 0 1), d 2.517, I = 12; (0 2 2), d 2.155, I = 11

Atomic structure:
```
data_K2UReO8
_cell_length_a 5.6911
_cell_length_b 6.5980
_cell_length_c 5.6989
_cell_angle_alpha 90.00
_cell_angle_beta 91.64
_cell_angle_gamma 90.00
_space_group_name_H-M_alt 'P 1 2/m 1'
_space_group_IT_number 10
loop_
_space_group_symop_operation_xyz
'x,y,z'
'-x,-y,-z'
'-x,y,-z'
'x,-y,z'
loop_
_atom_site_label
_atom_site_fract_x
_atom_site_fract_y
_atom_site_fract_z
_atom_site_occupancy
K1 0.0000 0.2413 0.0000 1
U1 0.5000 0.5000 0.5000 1
Re1 0.5000 0.0000 0.5000 1
O1 0.2648 0.5000 0.2677 1
O2 0.2681 0.0000 0.2711 1
O3 0.3439 0.2212 0.6578 1
```


Starting from the GGA-PBE geometry in Alexandria, the PXRD pattern of CeErAsSe was simulated for Cu Kα X-rays.
Peak positions follow from Bragg's law for the DFT cell and can differ from measured ones.

Most intense lines, 10 to 80 degrees two-theta, in order of falling intensity:
(1 0 4), d 2.932, I = 100; (1 1 0), d 2.068, I = 37; (0 1 8), d 2.079, I = 37; (0 2 4), d 1.690, I = 20; (2 1 4), d 1.308, I = 17; (1 1 12), d 1.314, I = 16; (0 1 2), d 3.380, I = 15; (2 0 8), d 1.466, I = 12; (0 0 12), d 1.702, I = 6; (1 0 16), d 1.203, I = 6

Atomic structure:
```
data_CeErAsSe
_cell_length_a 4.1354
_cell_length_b 4.1354
_cell_length_c 20.4280
_cell_angle_alpha 90.00
_cell_angle_beta 90.00
_cell_angle_gamma 120.00
_space_group_name_H-M_alt 'R 3 m'
_space_group_IT_number 160
_space_group_name_Hall 'R 3 -2"'
loop_
_atom_site_label
_atom_site_fract_x
_atom_site_fract_y
_atom_site_fract_z
_atom_site_occupancy
Ce1 0.0000 0.0000 0.0000 1
Er1 0.0000 0.0000 0.5056 1
As1 0.0000 0.0000 0.2488 1
Se1 0.0000 0.0000 0.7569 1
```


Starting from the GGA-PBE geometry in Alexandria, the PXRD pattern of RbBaHg4Bi2 was simulated for Cu Kα X-rays.
Peak positions follow from Bragg's law for the DFT cell and can differ from measured ones.

Most intense lines, 10 to 80 degrees two-theta, in order of falling intensity:
(1 1 2), d 3.041, I = 100; (2 0 0), d 2.405, I = 74; (0 0 5), d 2.716, I = 65; (1 1 1), d 3.299, I = 49; (0 0 3), d 4.529, I = 31; (1 0 4), d 2.771, I = 30; (2 0 5), d 1.800, I = 29; (2 2 5), d 1.441, I = 27; (0 0 2), d 6.780, I = 26; (3 1 2), d 1.484, I = 24

Atomic structure:
```
data_RbBaHg4Bi2
_cell_length_a 4.8111
_cell_length_b 4.8111
_cell_length_c 13.5598
_cell_angle_alpha 90.00
_cell_angle_beta 90.00
_cell_angle_gamma 90.00
_space_group_name_H-M_alt 'P 4/m m m'
_space_group_IT_number 123
_space_group_name_Hall '-P 4 2'
loop_
_atom_site_label
_atom_site_fract_x
_atom_site_fract_y
_atom_site_fract_z
_atom_site_occupancy
Rb1 0.0000 0.0000 0.0000 1
Ba1 0.0000 0.0000 0.5000 1
Hg1 0.0000 0.5000 0.2081 1
Bi1 0.5000 0.5000 0.3888 1
```


Starting from the GGA-PBE geometry in Alexandria, the PXRD pattern of TbMgBi3 was simulated for Cu Kα X-rays.
Peak positions follow from Bragg's law for the DFT cell and can differ from measured ones.

Most intense lines, 10 to 80 degrees two-theta, in order of falling intensity:
(2 2 0), d 2.940, I = 100; (3 0 2), d 2.655, I = 60; (0 0 2), d 3.253, I = 49; (5 0 0), d 2.758, I = 43; (1 2 2), d 2.268, I = 28; (0 2 2), d 2.299, I = 25; (2 4 2), d 1.421, I = 22; (6 0 2), d 1.878, I = 19; (4 2 2), d 1.913, I = 19; (1 0 2), d 3.170, I = 19

Atomic structure:
```
data_TbMgBi3
_cell_length_a 13.7918
_cell_length_b 6.4914
_cell_length_c 6.5143
_cell_angle_alpha 90.00
_cell_angle_beta 90.00
_cell_angle_gamma 90.00
_space_group_name_H-M_alt 'P b c m'
_space_group_IT_number 57
loop_
_space_group_symop_operation_xyz
'x,y,z'
'-x,-y,-z'
'-x,-y,z+1/2'
'x,y,-z+1/2'
'x,-y+1/2,-z'
'-x,y+1/2,z'
'-x,y+1/2,-z+1/2'
'x,-y+1/2,z+1/2'
loop_
_atom_site_label
_atom_site_fract_x
_atom_site_fract_y
_atom_site_fract_z
_atom_site_occupancy
Tb1 0.1804 0.0024 0.2500 1
Mg1 0.3865 0.7500 0.0000 1
Bi1 0.0031 0.7500 0.0000 1
Bi2 0.2331 0.0047 0.7500 1
Bi3 0.4179 0.1705 0.2500 1
```


Starting from the GGA-PBE geometry in Alexandria, the PXRD pattern of Ho3ZnRu was simulated for Cu Kα X-rays.
Peak positions follow from Bragg's law for the DFT cell and can differ from measured ones.

Most intense lines, 10 to 80 degrees two-theta, in order of falling intensity:
(1 3 1), d 2.790, I = 100; (1 1 5), d 2.695, I = 87; (2 2 2), d 2.500, I = 80; (2 0 4), d 2.465, I = 60; (1 5 5), d 1.575, I = 47; (1 3 3), d 2.492, I = 43; (0 2 6), d 2.290, I = 42; (2 2 4), d 2.188, I = 38; (2 0 0), d 3.171, I = 37; (3 3 3), d 1.667, I = 24

Atomic structure:
```
data_Ho3ZnRu
_cell_length_a 6.3418
_cell_length_b 9.5071
_cell_length_c 15.6769
_cell_angle_alpha 90.00
_cell_angle_beta 90.00
_cell_angle_gamma 90.00
_space_group_name_H-M_alt 'F m m m'
_space_group_IT_number 69
_space_group_name_Hall '-F 2 2'
loop_
_atom_site_label
_atom_site_fract_x
_atom_site_fract_y
_atom_site_fract_z
_atom_site_occupancy
Ho1 0.0000 0.0000 0.1956 1
Ho2 0.0000 0.1838 0.3934 1
Zn1 0.1947 0.0000 0.0000 1
Ru1 0.2500 0.2500 0.2500 1
```


Starting from the GGA-PBE geometry in Alexandria, the PXRD pattern of SmZr4Sc8 was simulated for Cu Kα X-rays.
Peak positions follow from Bragg's law for the DFT cell and can differ from measured ones.

Most intense lines, 10 to 80 degrees two-theta, in order of falling intensity:
(2 0 2), d 2.720, I = 100; (0 2 7), d 2.298, I = 34; (2 0 5), d 2.497, I = 32; (0 2 4), d 2.585, I = 27; (2 2 0), d 1.599, I = 27; (0 0 12), d 2.403, I = 24; (2 0 14), d 1.653, I = 23; (2 2 12), d 1.331, I = 23; (1 0 1), d 5.440, I = 21; (0 2 10), d 1.997, I = 21

Atomic structure:
```
data_SmZr4Sc8
_cell_length_a 6.3962
_cell_length_b 6.3962
_cell_length_c 28.8311
_cell_angle_alpha 90.00
_cell_angle_beta 90.00
_cell_angle_gamma 120.00
_space_group_name_H-M_alt 'R -3 m'
_space_group_IT_number 166
_space_group_name_Hall '-R 3 2"'
loop_
_atom_site_label
_atom_site_fract_x
_atom_site_fract_y
_atom_site_fract_z
_atom_site_occupancy
Sm1 0.0000 0.0000 0.0000 1
Zr1 0.0000 0.0000 0.5000 1
Zr2 0.0000 0.5000 0.5000 1
Sc1 0.0000 0.0000 0.0921 1
Sc2 0.0035 0.5017 0.0704 1
```


Starting from the GGA-PBE geometry in Alexandria, the PXRD pattern of Ga2PbAu3 was simulated for Cu Kα X-rays.
Peak positions follow from Bragg's law for the DFT cell and can differ from measured ones.

Most intense lines, 10 to 80 degrees two-theta, in order of falling intensity:
(1 2 1), d 2.779, I = 100; (0 3 2), d 2.232, I = 68; (1 3 0), d 2.873, I = 61; (0 6 0), d 2.193, I = 37; (1 4 1), d 2.243, I = 37; (2 3 2), d 1.447, I = 35; (2 0 0), d 1.902, I = 31; (1 1 1), d 2.986, I = 29; (1 5 0), d 2.164, I = 22; (1 0 2), d 2.142, I = 21

Atomic structure:
```
data_Ga2PbAu3
_cell_length_a 3.8030
_cell_length_b 13.1588
_cell_length_c 5.1846
_cell_angle_alpha 90.00
_cell_angle_beta 90.00
_cell_angle_gamma 90.00
_space_group_name_H-M_alt 'P m m n'
_space_group_IT_number 59
loop_
_space_group_symop_operation_xyz
'x,y,z'
'-x,-y,-z'
'-x+1/2,-y+1/2,z'
'x+1/2,y+1/2,-z'
'x+1/2,-y,-z'
'-x+1/2,y,z'
'-x,y+1/2,-z'
'x,-y+1/2,z'
loop_
_atom_site_label
_atom_site_fract_x
_atom_site_fract_y
_atom_site_fract_z
_atom_site_occupancy
Ga1 0.2500 0.0622 0.1636 1
Pb1 0.2500 0.7500 0.1761 1
Au1 0.2500 0.0680 0.6683 1
Au2 0.2500 0.2500 0.3319 1
```


Starting from the GGA-PBE geometry in Alexandria, the PXRD pattern of Sr6TlZn2 was simulated for Cu Kα X-rays.
Peak positions follow from Bragg's law for the DFT cell and can differ from measured ones.

Most intense lines, 10 to 80 degrees two-theta, in order of falling intensity:
(2 2 2), d 3.229, I = 100; (1 3 2), d 3.031, I = 85; (2 3 1), d 2.982, I = 46; (4 0 0), d 2.681, I = 33; (2 1 3), d 3.016, I = 30; (5 3 2), d 1.774, I = 30; (3 1 0), d 3.408, I = 29; (1 1 4), d 2.710, I = 27; (0 0 4), d 2.890, I = 18; (2 0 0), d 5.361, I = 17

Atomic structure:
```
data_Sr6TlZn2
_cell_length_a 10.7223
_cell_length_b 11.3228
_cell_length_c 11.5608
_cell_angle_alpha 90.00
_cell_angle_beta 90.00
_cell_angle_gamma 90.00
_space_group_name_H-M_alt 'I m m m'
_space_group_IT_number 71
_space_group_name_Hall '-I 2 2'
loop_
_atom_site_label
_atom_site_fract_x
_atom_site_fract_y
_atom_site_fract_z
_atom_site_occupancy
Sr1 0.0000 0.1883 0.2493 1
Sr2 0.1948 0.5000 0.1680 1
Sr3 0.2276 0.3228 0.5000 1
Tl1 0.0000 0.0000 0.0000 1
Tl2 0.0000 0.0000 0.5000 1
Zn1 0.0000 0.3372 0.0000 1
Zn2 0.0000 0.5000 0.3877 1
```


Starting from the GGA-PBE geometry in Alexandria, the PXRD pattern of AcPm2Co2 was simulated for Cu Kα X-rays.
Peak positions follow from Bragg's law for the DFT cell and can differ from measured ones.

Most intense lines, 10 to 80 degrees two-theta, in order of falling intensity:
(3 1 0), d 2.732, I = 100; (1 1 -1), d 3.205, I = 83; (4 0 -1), d 2.885, I = 62; (1 1 1), d 2.964, I = 38; (1 1 2), d 2.141, I = 37; (2 0 1), d 3.563, I = 36; (2 0 -2), d 2.821, I = 33; (4 0 1), d 2.320, I = 29; (0 0 2), d 2.792, I = 27; (3 1 -2), d 2.167, I = 27

Atomic structure:
```
data_AcPm2Co2
_cell_length_a 11.9220
_cell_length_b 3.8936
_cell_length_c 5.7899
_cell_angle_alpha 90.00
_cell_angle_beta 105.30
_cell_angle_gamma 90.00
_space_group_name_H-M_alt 'C 1 2/m 1'
_space_group_IT_number 12
loop_
_space_group_symop_operation_xyz
'x,y,z'
'-x,-y,-z'
'-x,y,-z'
'x,-y,z'
'x+1/2,y+1/2,z'
'-x+1/2,-y+1/2,-z'
'-x+1/2,y+1/2,-z'
'x+1/2,-y+1/2,z'
loop_
_atom_site_label
_atom_site_fract_x
_atom_site_fract_y
_atom_site_fract_z
_atom_site_occupancy
Ac1 0.0000 0.0000 0.0000 1
Pm1 0.1507 0.5000 0.5880 1
Co1 0.2299 0.5000 0.1019 1
```


Starting from the GGA-PBE geometry in Alexandria, the PXRD pattern of GaBC was simulated for Cu Kα X-rays.
Peak positions follow from Bragg's law for the DFT cell and can differ from measured ones.

Most intense lines, 10 to 80 degrees two-theta, in order of falling intensity:
(0 1 0), d 5.729, I = 100; (1 1 1), d 2.994, I = 93; (1 2 1), d 2.220, I = 87; (1 3 1), d 1.678, I = 63; (2 0 1), d 2.302, I = 57; (0 0 2), d 2.352, I = 50; (2 1 1), d 2.136, I = 43; (0 1 2), d 2.176, I = 35; (1 1 0), d 3.883, I = 27; (0 2 0), d 2.865, I = 25

Atomic structure:
```
data_GaBC
_cell_length_a 5.2808
_cell_length_b 5.7291
_cell_length_c 4.7033
_cell_angle_alpha 90.00
_cell_angle_beta 90.00
_cell_angle_gamma 90.00
_space_group_name_H-M_alt 'P c a 21'
_space_group_IT_number 29
loop_
_space_group_symop_operation_xyz
'x,y,z'
'-x,-y,z+1/2'
'-x+1/2,y,z+1/2'
'x+1/2,-y,z'
loop_
_atom_site_label
_atom_site_fract_x
_atom_site_fract_y
_atom_site_fract_z
_atom_site_occupancy
Ga1 0.0718 0.0961 0.0000 1
B1 0.1242 0.4796 0.6479 1
C1 0.1204 0.4486 0.9788 1
```


Starting from the GGA-PBE geometry in Alexandria, the PXRD pattern of HfTi3Ga was simulated for Cu Kα X-rays.
Peak positions follow from Bragg's law for the DFT cell and can differ from measured ones.

Most intense lines, 10 to 80 degrees two-theta, in order of falling intensity:
(1 1 2), d 2.474, I = 100; (1 0 3), d 2.839, I = 70; (1 0 5), d 2.127, I = 58; (2 0 0), d 1.896, I = 35; (0 0 2), d 6.424, I = 35; (2 1 5), d 1.415, I = 31; (1 1 0), d 2.681, I = 27; (2 1 3), d 1.576, I = 24; (1 0 1), d 3.636, I = 18; (0 0 4), d 3.212, I = 16

Atomic structure:
```
data_HfTi3Ga
_cell_length_a 3.7912
_cell_length_b 3.7912
_cell_length_c 12.8471
_cell_angle_alpha 90.00
_cell_angle_beta 90.00
_cell_angle_gamma 90.00
_space_group_name_H-M_alt 'I 4 m m'
_space_group_IT_number 107
_space_group_name_Hall 'I 4 -2'
loop_
_atom_site_label
_atom_site_fract_x
_atom_site_fract_y
_atom_site_fract_z
_atom_site_occupancy
Hf1 0.0000 0.0000 0.0000 1
Ti1 0.0000 0.0000 0.4093 1
Ti2 0.0000 0.5000 0.2610 1
Ga1 0.0000 0.0000 0.6062 1
```